Diffraction record for Na2NiPCO7. The powder diffraction line list is simulated, not measured: it uses a crystal structure in Alexandria, relaxed with PBE+U and Cu Kα (λ = 1.5418 Å).
Peak positions follow from Bragg's law for the DFT cell and can differ from measured ones.

Top 8 peaks for 15 to 90 degrees two-theta, in order of rising 2θ:
h k l, 2θ/deg, d/Å, I_rel
0 1 1, 16.54, 5.361, 394
1 0 1, 19.66, 4.516, 446
1 0 -1, 20.13, 4.412, 481
1 0 2, 25.94, 3.435, 476
0 2 0, 27.09, 3.292, 1000
0 2 2, 33.41, 2.682, 379
1 -2 1, 33.99, 2.637, 741
2 0 0, 34.91, 2.570, 547

Structure:
```
Na2NiPCO7
1.0
5.1422 0.0000 0.0000
0.0700 6.5841 0.0000
0.2508 0.1619 9.0073
Na Ni P C O
4 2 2 2 14
Direct
0.0000 0.0000 0.0000
0.0017 0.4712 0.9908
0.0448 0.6932 0.3498
0.5015 0.9739 0.5123
0.0355 0.2465 0.6028
0.4653 0.7401 0.9038
0.5319 0.2383 0.8285
0.9634 0.7448 0.6773
0.5339 0.7414 0.1789
0.9680 0.2394 0.3283
0.0285 0.5538 0.5865
0.0427 0.9263 0.5729
0.1027 0.7465 0.8273
0.1948 0.2478 0.3879
0.2998 0.7356 0.1266
0.3942 0.2295 0.6795
0.4524 0.4275 0.9195
0.4578 0.0532 0.9304
0.5764 0.7548 0.3161
0.6660 0.7598 0.7128
0.7243 0.7324 0.0794
0.7769 0.2402 0.4254
0.8344 0.2359 0.7994
0.9384 0.2366 0.1896
```